# 1
SrEr2O4: simulated powder XRD pattern (Cu Ka), based on DFT lattice parameters and positions (PBE).
Lines closer than 0.1° are merged.

Cell and atoms:
Cell lengths 5.8708, 3.3467, 7.0618 Å; angles 90.00, 96.77, 90.00 degrees
Space group Pm (No. 6)
Asymmetric unit:
Sr: 0.0000 0.0000 0.0000 (multiplicity 1)
Er: 0.4628 0.5000 0.7336 (multiplicity 1)
Er: 0.9127 0.0000 0.4529 (multiplicity 1)
O: 0.0062 0.5000 0.2485 (multiplicity 1)
O: 0.1817 0.0000 0.6859 (multiplicity 1)
O: 0.6091 0.0000 0.8995 (multiplicity 1)
O: 0.7060 0.5000 0.5382 (multiplicity 1)

The 10 most intense peaks (10 to 90 degrees two-theta), sorted by position:
(0 0 1), 12.62°, rel. 713
(1 0 -1), 18.61°, rel. 362
(1 0 1), 20.93°, rel. 804
(1 0 -2), 28.11°, rel. 696
(2 0 0), 30.67°, rel. 430
(1 1 0), 30.81°, rel. 1000
(1 0 2), 31.28°, rel. 399
(0 1 2), 37.14°, rel. 675
(2 1 -2), 46.78°, rel. 410
(3 0 -2), 50.96°, rel. 353

# 2
RbTmO3: simulated powder XRD pattern (Cu Ka), based on DFT lattice parameters and positions (PBE).
Lines closer than 0.1° are merged.

Cell and atoms:
Cell lengths 4.4556, 4.4556, 4.4556 Å; angles 90.00, 90.00, 90.00 degrees
Space group Pm-3m (No. 221)
Asymmetric unit:
Rb: 0.0000 0.0000 0.0000 (multiplicity 1)
Tm: 0.5000 0.5000 0.5000 (multiplicity 1)
O: 0.0000 0.5000 0.5000 (multiplicity 3)

The 10 most intense peaks (10 to 90 degrees two-theta), sorted by position:
(1 0 0), 19.93°, rel. 203
(1 1 0), 28.33°, rel. 1000
(2 0 0), 40.49°, rel. 311
(2 1 0), 45.52°, rel. 94
(2 1 1), 50.15°, rel. 421
(2 2 0), 58.60°, rel. 199
(3 0 0), 62.54°, rel. 44
(3 1 0), 66.34°, rel. 185
(2 2 2), 73.65°, rel. 66
(3 2 1), 80.69°, rel. 218

# 3
Y2B5Pd14: simulated powder XRD pattern (Cu Ka), based on DFT lattice parameters and positions (PBE).
Lines closer than 0.1° are merged.

Cell and atoms:
Cell lengths 8.3032, 8.3032, 17.2145 Å; angles 90.00, 90.00, 90.00 degrees
Space group I4_1/amd (No. 141, origin choice 2)
Asymmetric unit:
Y: 0.0000 0.2500 0.0911 (multiplicity 8)
B: 0.0000 0.2500 0.3750 (multiplicity 4)
B: 0.2108 0.0000 0.0000 (multiplicity 16)
Pd: 0.0000 0.0000 0.5000 (multiplicity 8)
Pd: 0.0000 0.0362 0.2307 (multiplicity 16)
Pd: 0.0000 0.0813 0.9326 (multiplicity 16)
Pd: 0.1872 0.0628 0.3750 (multiplicity 16)

The 10 most intense peaks (10 to 90 degrees two-theta), sorted by position:
(3 0 1), 32.77°, rel. 358
(3 1 2), 35.75°, rel. 377
(2 2 4), 37.07°, rel. 881
(1 0 7), 38.16°, rel. 839
(3 1 4), 40.23°, rel. 321
(3 0 5), 41.88°, rel. 282
(3 2 3), 42.29°, rel. 1000
(4 0 0), 43.60°, rel. 307
(5 0 7), 68.13°, rel. 219
(3 3 10), 73.23°, rel. 199

# 4
YMn4Al8: simulated powder XRD pattern (Cu Ka), based on DFT lattice parameters and positions (PBE).
Lines closer than 0.1° are merged.

Cell and atoms:
Cell lengths 8.7919, 8.7919, 4.9383 Å; angles 90.00, 90.00, 90.00 degrees
Space group I4/mmm (No. 139)
Asymmetric unit:
Y: 0.0000 0.0000 0.0000 (multiplicity 2)
Mn: 0.2500 0.2500 0.2500 (multiplicity 8)
Al: 0.0000 0.2185 0.5000 (multiplicity 8)
Al: 0.0000 0.3417 0.0000 (multiplicity 8)

The 10 most intense peaks (10 to 90 degrees two-theta), sorted by position:
(2 0 0), 20.20°, rel. 281
(2 2 0), 28.72°, rel. 346
(2 1 1), 29.03°, rel. 281
(3 0 1), 35.62°, rel. 398
(4 0 0), 41.07°, rel. 782
(3 2 1), 41.29°, rel. 699
(2 0 2), 41.97°, rel. 1000
(2 2 2), 47.00°, rel. 437
(4 2 2), 60.17°, rel. 303
(6 0 2), 75.44°, rel. 268

# 5
AsSe6IF6: simulated powder XRD pattern (Cu Ka), based on DFT lattice parameters and positions (PBE).
Lines closer than 0.1° are merged.

Cell and atoms:
Cell lengths 9.3360, 7.1678, 11.9542 Å; angles 90.00, 120.25, 90.00 degrees
Space group P2/c (No. 13)
Asymmetric unit:
As: 0.0000 0.0000 0.0000 (multiplicity 2)
Se: 0.2371 0.4275 0.3832 (multiplicity 4)
Se: 0.3321 0.2565 0.8849 (multiplicity 4)
Se: 0.4439 0.2405 0.3907 (multiplicity 4)
I: 0.5000 0.2788 0.7500 (multiplicity 2)
F: 0.0487 0.2130 0.5881 (multiplicity 4)
F: 0.0707 0.0939 0.3990 (multiplicity 4)
F: 0.2033 0.0857 0.1080 (multiplicity 4)

The 10 most intense peaks (10 to 90 degrees two-theta), sorted by position:
(1 0 0), 10.97°, rel. 616
(1 0 -2), 15.02°, rel. 267
(1 1 0), 16.55°, rel. 300
(1 1 -2), 19.48°, rel. 631
(1 0 2), 24.72°, rel. 841
(1 2 0), 27.22°, rel. 1000
(2 0 -4), 30.27°, rel. 346
(3 1 -3), 32.70°, rel. 524
(4 1 -3), 40.83°, rel. 264
(2 2 2), 42.92°, rel. 262

# 6
DySi2Ag2: simulated powder XRD pattern (Cu Ka), based on DFT lattice parameters and positions (PBE).
Lines closer than 0.1° are merged.

Cell and atoms:
Cell lengths 4.1513, 4.1513, 10.8260 Å; angles 90.00, 90.00, 90.00 degrees
Space group I4/mmm (No. 139)
Asymmetric unit:
Dy: 0.0000 0.0000 0.0000 (multiplicity 2)
Si: 0.0000 0.0000 0.3942 (multiplicity 4)
Ag: 0.0000 0.5000 0.2500 (multiplicity 4)

The 10 most intense peaks (10 to 90 degrees two-theta), sorted by position:
(1 0 1), 22.94°, rel. 228
(1 0 3), 32.89°, rel. 246
(0 0 4), 33.10°, rel. 200
(1 1 2), 34.77°, rel. 1000
(2 0 0), 43.61°, rel. 322
(1 0 5), 47.35°, rel. 122
(2 1 3), 55.68°, rel. 109
(2 0 4), 55.82°, rel. 175
(1 1 6), 60.20°, rel. 149
(3 1 2), 74.35°, rel. 208

Repeat the second record exactly.
RbTmO3: simulated powder XRD pattern (Cu Ka), based on DFT lattice parameters and positions (PBE).
Lines closer than 0.1° are merged.

Cell and atoms:
Cell lengths 4.4556, 4.4556, 4.4556 Å; angles 90.00, 90.00, 90.00 degrees
Space group Pm-3m (No. 221)
Asymmetric unit:
Rb: 0.0000 0.0000 0.0000 (multiplicity 1)
Tm: 0.5000 0.5000 0.5000 (multiplicity 1)
O: 0.0000 0.5000 0.5000 (multiplicity 3)

The 10 most intense peaks (10 to 90 degrees two-theta), sorted by position:
(1 0 0), 19.93°, rel. 203
(1 1 0), 28.33°, rel. 1000
(2 0 0), 40.49°, rel. 311
(2 1 0), 45.52°, rel. 94
(2 1 1), 50.15°, rel. 421
(2 2 0), 58.60°, rel. 199
(3 0 0), 62.54°, rel. 44
(3 1 0), 66.34°, rel. 185
(2 2 2), 73.65°, rel. 66
(3 2 1), 80.69°, rel. 218